(1)
Starting from DFT lattice parameters and positions (GGA-PBE), the X-ray powder pattern of Fe3B was computed for Cu Kα.

The 8 most intense peaks (2θ = 10–80°), by angle:
| d/Å | I_rel |
| --- | --- |
| 3.017 | 21 |
| 2.281 | 46 |
| 2.070 | 100 |
| 2.012 | 76 |
| 1.908 | 57 |
| 1.862 | 63 |
| 1.674 | 38 |
| 1.207 | 25 |

Cell and atoms:
Cell lengths 8.5318, 8.5318, 4.2699 Å; angles 90.00, 90.00, 90.00 degrees
Atoms (fractional coordinates):
Fe 0.0324 0.9221 0.2350
Fe 0.0779 0.5324 0.7350
Fe 0.1125 0.2861 0.0210
Fe 0.1411 0.8337 0.7244
Fe 0.1663 0.6411 0.2244
Fe 0.2139 0.1125 0.4790
Fe 0.2861 0.3875 0.4790
Fe 0.3337 0.8589 0.2244
Fe 0.3589 0.6663 0.7244
Fe 0.3875 0.2139 0.0210
Fe 0.4221 0.9676 0.7350
Fe 0.4676 0.5779 0.2350
Fe 0.5324 0.4221 0.7650
Fe 0.5779 0.0324 0.2650
Fe 0.6125 0.7861 0.9790
Fe 0.6411 0.3337 0.2756
Fe 0.6663 0.1411 0.7756
Fe 0.7139 0.6125 0.5210
Fe 0.7861 0.8875 0.5210
Fe 0.8337 0.3589 0.7756
Fe 0.8589 0.1663 0.2756
Fe 0.8875 0.7139 0.9790
Fe 0.9221 0.4676 0.2650
Fe 0.9676 0.0779 0.7650
B 0.0445 0.2960 0.5239
B 0.2040 0.0445 0.9761
B 0.2960 0.4555 0.9761
B 0.4555 0.2040 0.5239
B 0.5445 0.7960 0.4761
B 0.7040 0.5445 0.0239
B 0.7960 0.9555 0.0239
B 0.9555 0.7040 0.4761

=====

(2)
Starting from DFT lattice parameters and positions (GGA-PBE), the X-ray powder pattern of Ba2Pb3Au2 was computed for Cu Kα.

The 8 most intense peaks (2θ = 10–80°), by angle:
| d/Å | I_rel |
| --- | --- |
| 5.587 | 34 |
| 3.024 | 38 |
| 3.005 | 100 |
| 2.849 | 25 |
| 2.736 | 90 |
| 2.466 | 47 |
| 1.911 | 21 |
| 1.708 | 20 |

Cell and atoms:
Cell lengths 6.2001, 6.2001, 9.1081 Å; angles 114.60, 114.60, 46.87 degrees
Atoms (fractional coordinates):
Ba 0.1195 0.1195 0.2812
Ba 0.8805 0.8805 0.7188
Pb 0.3500 0.3500 0.0419
Pb 0.5000 0.5000 0.5000
Pb 0.6500 0.6500 0.9581
Au 0.1659 0.1659 0.6820
Au 0.8341 0.8341 0.3180

=====

(3)
Starting from DFT lattice parameters and positions (GGA-PBE), the X-ray powder pattern of Cu2Sb was computed for Cu Kα.

The 8 most intense peaks (2θ = 10–80°), by angle:
| d/Å | I_rel |
| --- | --- |
| 3.367 | 14 |
| 2.846 | 33 |
| 2.582 | 45 |
| 2.088 | 100 |
| 2.048 | 15 |
| 2.013 | 55 |
| 1.435 | 23 |
| 1.423 | 17 |

Cell and atoms:
Cell lengths 4.0251, 4.0251, 6.1427 Å; angles 90.00, 90.00, 90.00 degrees
Atoms (fractional coordinates):
Cu 0.2500 0.2500 0.2335
Cu 0.2500 0.7500 0.5000
Cu 0.7500 0.2500 0.5000
Cu 0.7500 0.7500 0.7665
Sb 0.2500 0.2500 0.8006
Sb 0.7500 0.7500 0.1994

=====

(4)
Starting from DFT lattice parameters and positions (GGA-PBE), the X-ray powder pattern of LaS3O9 was computed for Cu Kα.

The 8 most intense peaks (2θ = 10–80°), by angle:
| d/Å | I_rel |
| --- | --- |
| 7.353 | 59 |
| 5.744 | 54 |
| 5.230 | 63 |
| 3.720 | 91 |
| 3.555 | 100 |
| 3.296 | 78 |
| 3.074 | 34 |
| 2.841 | 37 |

Cell and atoms:
Cell lengths 7.4760, 7.4760, 7.4398 Å; angles 90.00, 90.00, 100.41 degrees
Atoms (fractional coordinates):
La 0.1184 0.1184 0.0000
La 0.8816 0.8816 0.5000
S 0.2239 0.2239 0.5000
S 0.2715 0.6351 0.9460
S 0.3649 0.7285 0.5540
S 0.6351 0.2715 0.0540
S 0.7285 0.3649 0.4460
S 0.7761 0.7761 0.0000
O 0.1107 0.1404 0.6650
O 0.1404 0.1107 0.3350
O 0.1473 0.4559 0.9517
O 0.1752 0.7886 0.9349
O 0.2114 0.8248 0.5651
O 0.3462 0.5861 0.4237
O 0.3755 0.6245 0.7500
O 0.4139 0.6538 0.0763
O 0.4559 0.1473 0.0483
O 0.5441 0.8527 0.5483
O 0.5861 0.3462 0.5763
O 0.6245 0.3755 0.2500
O 0.6538 0.4139 0.9237
O 0.7886 0.1752 0.0651
O 0.8248 0.2114 0.4349
O 0.8527 0.5441 0.4517
O 0.8596 0.8893 0.8350
O 0.8893 0.8596 0.1650